Entry 1:
Starting from a cell relaxed with PBE, the X-ray powder pattern of Hf3NbV8 was simulated for Cu Kα (weighted mean of Kα1 and Kα2).
No peak broadening, texture or thermal motion is included.

Cell lengths 5.173, 5.173, 8.284 Å; angles 90.00, 90.00, 120.00 degrees
Fractional coordinates of all 12 atoms:
Hf 0.000 0.000 0.000
Hf 0.000 0.000 0.376
Hf 0.333 0.667 0.870
Nb 0.333 0.667 0.499
V 0.007 0.504 0.190
V 0.327 0.163 0.684
V 0.496 0.504 0.190
V 0.496 0.993 0.190
V 0.667 0.333 0.438
V 0.667 0.333 0.936
V 0.837 0.163 0.684
V 0.837 0.673 0.684

The 8 most intense peaks (10° ≤ 2θ ≤ 90°), in order of falling intensity:
2theta	Rel. int.
38.3	100
41.1	94
34.7	72
41.8	49
64.6	41
70.7	25
19.8	23
66.6	22

Entry 2:
Starting from a cell relaxed with PBE, the X-ray powder pattern of YHf2Nb was simulated for Cu Kα (weighted mean of Kα1 and Kα2).
No peak broadening, texture or thermal motion is included.

Cell lengths 5.035, 5.035, 5.035 Å; angles 60.00, 60.00, 60.00 degrees
Fractional coordinates of all 4 atoms:
Y 0.000 0.000 0.000
Hf 0.250 0.250 0.250
Hf 0.750 0.750 0.750
Nb 0.500 0.500 0.500

The 8 most intense peaks (10° ≤ 2θ ≤ 90°), in order of falling intensity:
2theta	Rel. int.
35.7	100
64.1	36
51.3	18
86.4	16
25.0	11
75.5	11
57.9	5
44.1	4

Entry 3:
Starting from a cell relaxed with PBE, the X-ray powder pattern of HfNb2Zn6 was simulated for Cu Kα (weighted mean of Kα1 and Kα2).
No peak broadening, texture or thermal motion is included.

Cell lengths 5.250, 5.250, 5.250 Å; angles 90.06, 90.06, 90.06 degrees
Fractional coordinates of all 9 atoms:
Hf 0.000 0.000 0.000
Nb 0.339 0.339 0.339
Nb 0.661 0.661 0.661
Zn 0.167 0.500 0.833
Zn 0.167 0.833 0.500
Zn 0.500 0.167 0.833
Zn 0.500 0.833 0.167
Zn 0.833 0.167 0.500
Zn 0.833 0.500 0.167

The 8 most intense peaks (10° ≤ 2θ ≤ 90°), in order of falling intensity:
2theta	Rel. int.
38.4	100
42.1	73
77.1	34
58.3	29
74.5	27
24.0	16
61.2	8
16.9	6

Entry 4:
Starting from a cell relaxed with PBE, the X-ray powder pattern of Hf4ZrNb was simulated for Cu Kα (weighted mean of Kα1 and Kα2).
No peak broadening, texture or thermal motion is included.

Cell lengths 7.833, 7.833, 5.447 Å; angles 104.19, 104.19, 57.17 degrees
Fractional coordinates of all 12 atoms:
Hf 0.067 0.685 0.422
Hf 0.189 0.811 0.000
Hf 0.315 0.933 0.578
Hf 0.332 0.332 0.735
Hf 0.668 0.668 0.265
Hf 0.685 0.067 0.422
Hf 0.811 0.189 0.000
Hf 0.933 0.315 0.578
Zr 0.214 0.214 0.148
Zr 0.786 0.786 0.852
Nb 0.456 0.456 0.258
Nb 0.544 0.544 0.742

The 8 most intense peaks (10° ≤ 2θ ≤ 90°), in order of falling intensity:
2theta	Rel. int.
36.7	100
36.0	95
36.6	77
35.6	77
35.2	66
34.4	58
42.1	57
33.1	46

Entry 5:
Starting from a cell relaxed with PBE, the X-ray powder pattern of HfZrNb3 was simulated for Cu Kα (weighted mean of Kα1 and Kα2).
No peak broadening, texture or thermal motion is included.

Cell lengths 4.906, 4.906, 4.906 Å; angles 90.00, 90.00, 90.00 degrees
Fractional coordinates of all 5 atoms:
Hf 0.000 0.000 0.000
Zr 0.500 0.500 0.500
Nb 0.000 0.000 0.500
Nb 0.000 0.500 0.000
Nb 0.500 0.000 0.000

The 8 most intense peaks (10° ≤ 2θ ≤ 90°), in order of falling intensity:
2theta	Rel. int.
36.6	100
52.8	69
18.1	59
25.7	49
89.3	31
41.1	30
31.6	27
66.0	23

Entry 6:
Starting from a cell relaxed with PBE, the X-ray powder pattern of Nd3Hf was simulated for Cu Kα (weighted mean of Kα1 and Kα2).
No peak broadening, texture or thermal motion is included.

Cell lengths 6.087, 6.087, 6.087 Å; angles 131.52, 131.52, 70.99 degrees
Fractional coordinates of all 4 atoms:
Nd 0.000 0.000 0.000
Nd 0.250 0.750 0.500
Nd 0.750 0.250 0.500
Hf 0.500 0.500 0.000

The 8 most intense peaks (10° ≤ 2θ ≤ 90°), in order of falling intensity:
2theta	Rel. int.
31.1	100
35.9	34
61.6	28
52.0	24
36.2	17
62.0	14
64.8	12
51.7	12

Entry 7:
Starting from a cell relaxed with PBE, the X-ray powder pattern of Nd2Hf2O7 was simulated for Cu Kα (weighted mean of Kα1 and Kα2).
No peak broadening, texture or thermal motion is included.

Cell lengths 7.575, 7.575, 7.575 Å; angles 60.00, 60.00, 60.00 degrees
Fractional coordinates of all 22 atoms:
Nd 0.000 0.000 0.000
Nd 0.000 0.000 0.500
Nd 0.000 0.500 0.000
Nd 0.500 0.000 0.000
Hf 0.000 0.500 0.500
Hf 0.500 0.000 0.500
Hf 0.500 0.500 0.000
Hf 0.500 0.500 0.500
O 0.125 0.125 0.125
O 0.168 0.168 0.582
O 0.168 0.582 0.168
O 0.168 0.582 0.582
O 0.418 0.418 0.832
O 0.418 0.832 0.418
O 0.418 0.832 0.832
O 0.582 0.168 0.168
O 0.582 0.168 0.582
O 0.582 0.582 0.168
O 0.832 0.418 0.418
O 0.832 0.418 0.832
O 0.832 0.832 0.418
O 0.875 0.875 0.875

The 8 most intense peaks (10° ≤ 2θ ≤ 90°), in order of falling intensity:
2theta	Rel. int.
28.9	100
48.0	46
57.0	45
33.5	36
77.7	18
80.1	15
89.7	14
59.8	11

Entry 8:
Starting from a cell relaxed with PBE, the X-ray powder pattern of NdHfSbO6 was simulated for Cu Kα (weighted mean of Kα1 and Kα2).
No peak broadening, texture or thermal motion is included.

Cell lengths 5.416, 5.416, 10.154 Å; angles 90.00, 90.00, 120.00 degrees
Fractional coordinates of all 18 atoms:
Nd 0.000 0.000 0.000
Nd 0.000 0.000 0.500
Hf 0.333 0.667 0.250
Hf 0.667 0.333 0.750
Sb 0.333 0.667 0.750
Sb 0.667 0.333 0.250
O 0.011 0.369 0.640
O 0.011 0.642 0.860
O 0.358 0.369 0.860
O 0.358 0.989 0.640
O 0.369 0.011 0.140
O 0.369 0.358 0.360
O 0.631 0.642 0.640
O 0.631 0.989 0.860
O 0.642 0.011 0.360
O 0.642 0.631 0.140
O 0.989 0.358 0.140
O 0.989 0.631 0.360

The 8 most intense peaks (10° ≤ 2θ ≤ 90°), in order of falling intensity:
2theta	Rel. int.
25.9	100
33.1	47
49.2	46
42.5	25
54.9	25
59.1	15
17.5	15
37.6	12

Entry 9:
Starting from a cell relaxed with PBE, the X-ray powder pattern of NdHfTeO6 was simulated for Cu Kα (weighted mean of Kα1 and Kα2).
No peak broadening, texture or thermal motion is included.

Cell lengths 5.491, 5.491, 10.144 Å; angles 90.00, 90.00, 120.00 degrees
Fractional coordinates of all 18 atoms:
Nd 0.000 0.000 0.000
Nd 0.000 0.000 0.500
Hf 0.333 0.667 0.250
Hf 0.667 0.333 0.750
Te 0.333 0.667 0.750
Te 0.667 0.333 0.250
O 0.003 0.362 0.640
O 0.003 0.642 0.860
O 0.358 0.362 0.860
O 0.358 0.997 0.640
O 0.362 0.003 0.140
O 0.362 0.358 0.360
O 0.638 0.642 0.640
O 0.638 0.997 0.860
O 0.642 0.003 0.360
O 0.642 0.638 0.140
O 0.997 0.358 0.140
O 0.997 0.638 0.360

The 8 most intense peaks (10° ≤ 2θ ≤ 90°), in order of falling intensity:
2theta	Rel. int.
25.7	100
32.6	48
48.9	47
42.0	26
54.1	25
58.2	16
17.5	15
37.2	12

Entry 10:
Starting from a cell relaxed with PBE, the X-ray powder pattern of Nd3HfPd12 was simulated for Cu Kα (weighted mean of Kα1 and Kα2).
No peak broadening, texture or thermal motion is included.

Cell lengths 4.153, 4.153, 16.631 Å; angles 90.00, 90.00, 90.00 degrees
Fractional coordinates of all 16 atoms:
Nd 0.000 0.000 0.000
Nd 0.000 0.000 0.255
Nd 0.000 0.000 0.745
Hf 0.000 0.000 0.500
Pd 0.000 0.500 0.128
Pd 0.000 0.500 0.386
Pd 0.000 0.500 0.614
Pd 0.000 0.500 0.872
Pd 0.500 0.000 0.128
Pd 0.500 0.000 0.386
Pd 0.500 0.000 0.614
Pd 0.500 0.000 0.872
Pd 0.500 0.500 0.000
Pd 0.500 0.500 0.257
Pd 0.500 0.500 0.500
Pd 0.500 0.500 0.743

The 8 most intense peaks (10° ≤ 2θ ≤ 90°), in order of falling intensity:
2theta	Rel. int.
37.5	100
43.6	49
76.0	35
63.3	30
80.0	10
21.4	3
30.4	2
49.0	1

Entry 11:
Starting from a cell relaxed with PBE, the X-ray powder pattern of Nd3HfTl3S8 was simulated for Cu Kα (weighted mean of Kα1 and Kα2).
No peak broadening, texture or thermal motion is included.

Cell lengths 8.917, 8.917, 8.917 Å; angles 54.33, 54.33, 54.33 degrees
Fractional coordinates of all 15 atoms:
Nd 0.000 0.500 0.500
Nd 0.500 0.000 0.500
Nd 0.500 0.500 0.000
Hf 0.000 0.000 0.000
Tl 0.000 0.000 0.500
Tl 0.000 0.500 0.000
Tl 0.500 0.000 0.000
S 0.216 0.216 0.759
S 0.216 0.759 0.216
S 0.241 0.784 0.784
S 0.265 0.265 0.265
S 0.735 0.735 0.735
S 0.759 0.216 0.216
S 0.784 0.241 0.784
S 0.784 0.784 0.241

The 8 most intense peaks (10° ≤ 2θ ≤ 90°), in order of falling intensity:
2theta	Rel. int.
29.8	100
26.5	57
40.8	38
44.5	34
23.5	28
50.9	23
13.1	21
54.5	18

Entry 12:
Starting from a cell relaxed with PBE, the X-ray powder pattern of Nd2HfSb3 was simulated for Cu Kα (weighted mean of Kα1 and Kα2).
No peak broadening, texture or thermal motion is included.

Cell lengths 9.750, 9.750, 9.750 Å; angles 153.98, 153.98, 37.14 degrees
Fractional coordinates of all 6 atoms:
Nd 0.169 0.169 0.000
Nd 0.831 0.831 0.000
Hf 0.500 0.500 0.000
Sb 0.000 0.000 0.000
Sb 0.342 0.342 0.000
Sb 0.658 0.658 0.000

The 8 most intense peaks (10° ≤ 2θ ≤ 90°), in order of falling intensity:
2theta	Rel. int.
28.8	100
41.3	73
29.0	47
51.1	39
41.1	38
75.0	25
67.5	17
67.6	17